Theoretical X-ray powder pattern
Compound: K2LiGaF6
Radiation: Cu Kα (weighted mean of Kα1 and Kα2)
Structure: a DFT-relaxed cell (GGA-PBE, the Materials Project)

Crystal structure
```
data_K2LiGaF6
_symmetry_space_group_name_H-M 'F m -3 m'
_symmetry_Int_Tables_number 225
_symmetry_space_group_name_Hall '-F 4 2 3'
_cell_length_a 8.108
_cell_length_b 8.108
_cell_length_c 8.108
_cell_angle_alpha 90.00
_cell_angle_beta 90.00
_cell_angle_gamma 90.00
loop_
_atom_site_label
_atom_site_type_symbol
_atom_site_fract_x
_atom_site_fract_y
_atom_site_fract_z
_atom_site_occupancy
K1 K 0.250 0.250 0.250 1
Li1 Li 0.000 0.000 0.000 1
Ga1 Ga 0.000 0.000 0.500 1
F1 F 0.000 0.000 0.262 1
```

Largest 10 diffraction maxima, in order of rising 2θ, 10° ≤ 2θ ≤ 80°:
| Position (°2θ) | d [Å] | intensity | (hkl) |
| --- | --- | --- | --- |
| 18.96 | 4.681 | 93 | 1 1 1 |
| 31.20 | 2.867 | 100 | 2 2 0 |
| 36.76 | 2.445 | 38 | 3 1 1 |
| 38.46 | 2.341 | 35 | 2 2 2 |
| 44.71 | 2.027 | 88 | 4 0 0 |
| 55.52 | 1.655 | 36 | 4 2 2 |
| 59.21 | 1.560 | 17 | 5 1 1 |
| 65.07 | 1.433 | 48 | 4 4 0 |
| 68.45 | 1.371 | 15 | 5 3 1 |
| 73.93 | 1.282 | 16 | 6 2 0 |

=====

Theoretical X-ray powder pattern
Compound: KNa2GaF6
Radiation: Cu Kα (weighted mean of Kα1 and Kα2)
Structure: a DFT-relaxed cell (GGA-PBE, the Materials Project)

Crystal structure
```
data_KNa2GaF6
_symmetry_space_group_name_H-M 'F m -3 m'
_symmetry_Int_Tables_number 225
_symmetry_space_group_name_Hall '-F 4 2 3'
_cell_length_a 8.746
_cell_length_b 8.746
_cell_length_c 8.746
_cell_angle_alpha 90.00
_cell_angle_beta 90.00
_cell_angle_gamma 90.00
loop_
_atom_site_label
_atom_site_type_symbol
_atom_site_fract_x
_atom_site_fract_y
_atom_site_fract_z
_atom_site_occupancy
K1 K 0.000 0.000 0.000 1
Na1 Na 0.250 0.250 0.250 1
Ga1 Ga 0.000 0.000 0.500 1
F1 F 0.000 0.000 0.281 1
```

Largest 10 diffraction maxima, in order of rising 2θ, 10° ≤ 2θ ≤ 80°:
| Position (°2θ) | d [Å] | intensity | (hkl) |
| --- | --- | --- | --- |
| 17.56 | 5.050 | 41 | 1 1 1 |
| 20.31 | 4.373 | 89 | 2 0 0 |
| 28.87 | 3.092 | 100 | 2 2 0 |
| 41.29 | 2.187 | 79 | 4 0 0 |
| 46.43 | 1.956 | 27 | 4 2 0 |
| 51.16 | 1.785 | 33 | 4 2 2 |
| 54.52 | 1.683 | 12 | 5 1 1 |
| 59.82 | 1.546 | 41 | 4 4 0 |
| 63.86 | 1.458 | 12 | 6 0 0 |
| 67.76 | 1.383 | 21 | 6 2 0 |

=====

Theoretical X-ray powder pattern
Compound: K2GaOF5
Radiation: Cu Kα (weighted mean of Kα1 and Kα2)
Structure: a DFT-relaxed cell (GGA-PBE, the Materials Project)

Crystal structure
```
data_K2GaOF5
_symmetry_space_group_name_H-M 'C 1 2/c 1'
_symmetry_Int_Tables_number 15
_cell_length_a 9.954
_cell_length_b 7.722
_cell_length_c 8.059
_cell_angle_alpha 90.00
_cell_angle_beta 94.48
_cell_angle_gamma 90.00
loop_
_symmetry_equiv_pos_as_xyz
'x,y,z'
'-x,-y,-z'
'-x,y,-z+1/2'
'x,-y,z+1/2'
'x+1/2,y+1/2,z'
'-x+1/2,-y+1/2,-z'
'-x+1/2,y+1/2,-z+1/2'
'x+1/2,-y+1/2,z+1/2'
loop_
_atom_site_label
_atom_site_type_symbol
_atom_site_fract_x
_atom_site_fract_y
_atom_site_fract_z
_atom_site_occupancy
K1 K 0.199 0.005 0.033 1
Ga1 Ga 0.000 0.295 0.750 1
O1 O 0.000 0.431 0.250 1
F1 F 0.000 0.050 0.750 1
F2 F 0.070 0.310 0.977 1
F3 F 0.181 0.316 0.689 1
```

Largest 10 diffraction maxima, in order of rising 2θ, 10° ≤ 2θ ≤ 80°:
| Position (°2θ) | d [Å] | intensity | (hkl) |
| --- | --- | --- | --- |
| 17.84 | 4.971 | 100 | 1 1 -1 |
| 18.69 | 4.747 | 62 | 1 1 1 |
| 27.45 | 3.249 | 16 | 2 0 -2 |
| 29.33 | 3.045 | 46 | 2 2 0 |
| 29.69 | 3.009 | 37 | 2 0 2 |
| 30.68 | 2.914 | 15 | 3 1 -1 |
| 32.15 | 2.784 | 24 | 0 2 2 |
| 36.05 | 2.492 | 32 | 1 3 0 |
| 37.32 | 2.410 | 18 | 1 1 3 |
| 45.14 | 2.009 | 16 | 0 0 4 |

=====

Theoretical X-ray powder pattern
Compound: KRb2GaF6
Radiation: Cu Kα (weighted mean of Kα1 and Kα2)
Structure: a DFT-relaxed cell (GGA-PBE, the Materials Project)

Crystal structure
```
data_KRb2GaF6
_symmetry_space_group_name_H-M 'F m -3 m'
_symmetry_Int_Tables_number 225
_symmetry_space_group_name_Hall '-F 4 2 3'
_cell_length_a 8.984
_cell_length_b 8.984
_cell_length_c 8.984
_cell_angle_alpha 90.00
_cell_angle_beta 90.00
_cell_angle_gamma 90.00
loop_
_atom_site_label
_atom_site_type_symbol
_atom_site_fract_x
_atom_site_fract_y
_atom_site_fract_z
_atom_site_occupancy
K1 K 0.000 0.000 0.000 1
Rb1 Rb 0.250 0.250 0.250 1
Ga1 Ga 0.000 0.000 0.500 1
F1 F 0.000 0.000 0.285 1
```

Largest 10 diffraction maxima, in order of rising 2θ, 10° ≤ 2θ ≤ 80°:
| Position (°2θ) | d [Å] | intensity | (hkl) |
| --- | --- | --- | --- |
| 17.10 | 5.187 | 12 | 1 1 1 |
| 28.09 | 3.176 | 100 | 2 2 0 |
| 34.59 | 2.593 | 16 | 2 2 2 |
| 40.15 | 2.246 | 44 | 4 0 0 |
| 49.72 | 1.834 | 36 | 4 2 2 |
| 58.08 | 1.588 | 25 | 4 4 0 |
| 65.74 | 1.420 | 20 | 6 2 0 |
| 69.39 | 1.354 | 4 | 6 2 2 |
| 72.96 | 1.297 | 7 | 4 4 4 |
| 79.91 | 1.200 | 22 | 6 4 2 |

=====

Theoretical X-ray powder pattern
Compound: KRb2GaF6
Radiation: Cu Kα (weighted mean of Kα1 and Kα2)
Structure: a DFT-relaxed cell (GGA-PBE, the Materials Project)

Crystal structure
```
data_KRb2GaF6
_symmetry_space_group_name_H-M 'I 4/m'
_symmetry_Int_Tables_number 87
_symmetry_space_group_name_Hall '-I 4'
_cell_length_a 14.016
_cell_length_b 14.016
_cell_length_c 9.013
_cell_angle_alpha 90.00
_cell_angle_beta 90.00
_cell_angle_gamma 90.00
loop_
_atom_site_label
_atom_site_type_symbol
_atom_site_fract_x
_atom_site_fract_y
_atom_site_fract_z
_atom_site_occupancy
K1 K 0.000 0.000 0.000 1
K2 K 0.089 0.267 0.500 1
Rb1 Rb 0.000 0.500 0.250 1
Rb2 Rb 0.106 0.788 0.227 1
Ga1 Ga 0.000 0.000 0.500 1
Ga2 Ga 0.095 0.304 0.000 1
F1 F 0.000 0.000 0.287 1
F2 F 0.036 0.654 0.000 1
F3 F 0.052 0.173 0.000 1
F4 F 0.064 0.877 0.500 1
F5 F 0.067 0.638 0.500 1
F6 F 0.096 0.300 0.216 1
F7 F 0.227 0.258 0.000 1
```

Largest 10 diffraction maxima, in order of rising 2θ, 10° ≤ 2θ ≤ 80°:
| Position (°2θ) | d [Å] | intensity | (hkl) |
| --- | --- | --- | --- |
| 17.23 | 5.146 | 22 | 2 1 1 |
| 28.24 | 3.160 | 100 | 1 3 2 |
| 28.48 | 3.134 | 59 | 4 2 0 |
| 34.87 | 2.573 | 23 | 4 2 2 |
| 40.01 | 2.253 | 24 | 0 0 4 |
| 40.71 | 2.216 | 38 | 2 6 0 |
| 49.84 | 1.829 | 20 | 4 2 4 |
| 50.29 | 1.814 | 33 | 5 5 2 |
| 58.41 | 1.580 | 20 | 2 6 4 |
| 58.94 | 1.567 | 11 | 8 4 0 |

=====

Number 5 is which compound?
KRb2GaF6